AcTl2Cd: computed powder XRD pattern (Cu Ka), based on the GGA-PBE geometry in Alexandria.
Lines closer than 0.1° are merged.

Main lines, most intense first (15 to 90 degrees two-theta):
31.31°, I = 100; 35.30°, I = 38; 60.88°, I = 31; 53.03°, I = 20; 50.79°, I = 14; 38.26°, I = 13; 65.33°, I = 11; 64.86°, I = 9; 86.73°, I = 8; 83.18°, I = 6

Cell and atoms:
```
AcTl2Cd
1.0
5.0849 0.0000 0.0000
0.0000 5.0849 0.0000
0.0000 0.0000 18.8197
Ac Tl Cd
4 8 4
direct
0.0000 0.0000 0.1278
0.0000 0.0000 0.8722
0.5000 0.5000 0.3722
0.5000 0.5000 0.6278
0.0000 0.0000 0.3583
0.0000 0.0000 0.6417
0.0000 0.5000 0.0000
0.0000 0.5000 0.5000
0.5000 0.0000 0.0000
0.5000 0.0000 0.5000
0.5000 0.5000 0.1417
0.5000 0.5000 0.8583
0.0000 0.5000 0.2500
0.0000 0.5000 0.7500
0.5000 0.0000 0.2500
0.5000 0.0000 0.7500
```

=====

Ac3Tl3Cd8: computed powder XRD pattern (Cu Ka), based on the GGA-PBE geometry in Alexandria.
Lines closer than 0.1° are merged.

Main lines, most intense first (15 to 90 degrees two-theta):
30.48°, I = 100; 35.90°, I = 32; 32.83°, I = 30; 37.20°, I = 22; 30.75°, I = 17; 52.66°, I = 16; 61.19°, I = 15; 57.12°, I = 10; 47.97°, I = 10; 30.36°, I = 9

Cell and atoms:
```
Ac3Tl3Cd8
1.0
-2.5014 5.4609 7.2505
2.5014 -5.4609 7.2505
2.5014 5.4609 -7.2505
Ac Tl Cd
3 3 8
direct
0.0000 0.0000 0.0000
0.3091 0.3091 0.0000
0.6909 0.6909 0.0000
0.2936 0.5000 0.7936
0.5000 0.0000 0.5000
0.7064 0.5000 0.2064
0.0342 0.6628 0.3714
0.1192 0.8516 0.2676
0.2914 0.6628 0.6286
0.4161 0.1484 0.2676
0.5839 0.8516 0.7324
0.7086 0.3372 0.3714
0.8808 0.1484 0.7324
0.9658 0.3372 0.6286
```

=====

Ac6Tl3Cd: computed powder XRD pattern (Cu Ka), based on the GGA-PBE geometry in Alexandria.
Lines closer than 0.1° are merged.

Main lines, most intense first (15 to 90 degrees two-theta):
30.13°, I = 100; 30.29°, I = 90; 30.81°, I = 56; 29.28°, I = 37; 43.02°, I = 28; 54.36°, I = 20; 54.47°, I = 18; 54.23°, I = 16; 43.47°, I = 15; 33.18°, I = 13

Cell and atoms:
```
Ac6Tl3Cd
1.0
10.2833 0.0000 0.0000
0.0000 5.8042 0.0000
-3.8066 0.0000 12.3480
Ac Tl Cd
12 6 2
direct
0.0213 0.2500 0.4022
0.1540 0.7500 0.1784
0.2517 0.2500 0.9995
0.3504 0.7500 0.8249
0.3724 0.2500 0.3447
0.3917 0.2500 0.6203
0.6083 0.7500 0.3797
0.6276 0.7500 0.6553
0.6496 0.2500 0.1751
0.7483 0.7500 0.0005
0.8460 0.2500 0.8216
0.9787 0.7500 0.5978
0.0344 0.7500 0.8872
0.1277 0.2500 0.7203
0.2736 0.7500 0.4692
0.7264 0.2500 0.5308
0.8723 0.7500 0.2797
0.9656 0.2500 0.1128
0.4527 0.7500 0.1079
0.5473 0.2500 0.8921
```

=====

Ac3Tl2Cd9: computed powder XRD pattern (Cu Ka), based on the GGA-PBE geometry in Alexandria.
Lines closer than 0.1° are merged.

Main lines, most intense first (15 to 90 degrees two-theta):
30.59°, I = 100; 35.36°, I = 52; 33.46°, I = 32; 31.48°, I = 26; 31.27°, I = 24; 36.75°, I = 23; 51.92°, I = 17; 31.09°, I = 17; 59.34°, I = 16; 48.06°, I = 16

Cell and atoms:
```
Ac3Tl2Cd9
1.0
-2.5381 5.2374 7.3359
2.5381 -5.2374 7.3359
2.5381 5.2374 -7.3359
Ac Tl Cd
3 2 9
direct
0.0000 0.0000 0.0000
0.2991 0.2991 0.0000
0.7009 0.7009 0.0000
0.3112 0.5000 0.8112
0.6888 0.5000 0.1888
0.0245 0.6588 0.3657
0.1310 0.8536 0.2775
0.2932 0.6588 0.6343
0.4239 0.1464 0.2775
0.5000 0.0000 0.5000
0.5761 0.8536 0.7225
0.7068 0.3412 0.3657
0.8690 0.1464 0.7225
0.9755 0.3412 0.6343
```

=====

AcTlCd2: computed powder XRD pattern (Cu Ka), based on the GGA-PBE geometry in Alexandria.
Lines closer than 0.1° are merged.

Main lines, most intense first (15 to 90 degrees two-theta):
31.42°, I = 100; 37.07°, I = 32; 63.31°, I = 27; 52.00°, I = 24; 35.13°, I = 19; 60.72°, I = 15; 65.57°, I = 12; 85.13°, I = 12; 53.43°, I = 11; 17.36°, I = 8

Cell and atoms:
```
AcTlCd2
1.0
4.8500 0.0000 0.0000
0.0000 4.8500 0.0000
0.0000 0.0000 5.1091
Ac Tl Cd
1 1 2
direct
0.0000 0.0000 0.0000
0.5000 0.5000 0.0000
0.0000 0.5000 0.5000
0.5000 0.0000 0.5000
```

=====

Ac2Tl3Cd: computed powder XRD pattern (Cu Ka), based on the GGA-PBE geometry in Alexandria.
Lines closer than 0.1° are merged.

Main lines, most intense first (15 to 90 degrees two-theta):
29.80°, I = 100; 34.15°, I = 49; 58.16°, I = 32; 33.93°, I = 25; 45.81°, I = 21; 79.23°, I = 13; 45.57°, I = 11; 58.01°, I = 11; 58.55°, I = 10; 46.04°, I = 10

Cell and atoms:
```
Ac2Tl3Cd
1.0
0.0000 5.2843 9.0758
3.9817 0.0000 9.0758
3.9817 5.2843 0.0000
Ac Tl Cd
4 6 2
direct
0.2487 0.7513 0.7513
0.2500 0.2500 0.2500
0.7500 0.7500 0.7500
0.7513 0.2487 0.2487
0.1694 0.1694 0.8306
0.1689 0.6615 0.3385
0.3385 0.8311 0.1689
0.6615 0.1689 0.8311
0.8311 0.3385 0.6615
0.8306 0.8306 0.1694
0.3335 0.3335 0.6665
0.6665 0.6665 0.3335
```

=====

Ac2TlCd9: computed powder XRD pattern (Cu Ka), based on the GGA-PBE geometry in Alexandria.
Lines closer than 0.1° are merged.

Main lines, most intense first (15 to 90 degrees two-theta):
34.00°, I = 100; 28.23°, I = 47; 32.86°, I = 40; 29.80°, I = 35; 58.38°, I = 29; 27.19°, I = 29; 53.77°, I = 29; 36.37°, I = 25; 83.38°, I = 16; 35.09°, I = 15

Cell and atoms:
```
Ac2TlCd9
1.0
3.1612 1.8251 9.5562
-3.1612 1.8251 9.5562
0.0000 -3.6502 9.5562
Ac Tl Cd
2 1 9
direct
0.1387 0.1387 0.1387
0.8613 0.8613 0.8613
0.0000 0.0000 0.0000
0.0750 0.5880 0.5880
0.3354 0.3354 0.3354
0.4120 0.4120 0.9250
0.4120 0.9250 0.4120
0.5000 0.5000 0.5000
0.5880 0.0750 0.5880
0.5880 0.5880 0.0750
0.6646 0.6646 0.6646
0.9250 0.4120 0.4120
```

=====

Ac2Tl4Cd: computed powder XRD pattern (Cu Ka), based on the GGA-PBE geometry in Alexandria.
Lines closer than 0.1° are merged.

Main lines, most intense first (15 to 90 degrees two-theta):
31.42°, I = 100; 31.78°, I = 61; 25.45°, I = 49; 33.97°, I = 41; 37.93°, I = 39; 51.82°, I = 32; 35.15°, I = 21; 64.90°, I = 20; 64.26°, I = 17; 59.19°, I = 17

Cell and atoms:
```
Ac2Tl4Cd
1.0
0.0000 5.2788 6.6567
3.3817 0.0000 6.6567
3.3817 5.2788 0.0000
Ac Tl Cd
2 4 1
direct
0.1433 0.1433 0.8567
0.8567 0.8567 0.1433
0.0000 0.0000 0.5000
0.2500 0.2500 0.2500
0.5000 0.5000 0.0000
0.7500 0.7500 0.7500
0.5000 0.5000 0.5000
```

=====

Ac4Tl5Cd3: computed powder XRD pattern (Cu Ka), based on the GGA-PBE geometry in Alexandria.
Lines closer than 0.1° are merged.

Main lines, most intense first (15 to 90 degrees two-theta):
31.75°, I = 100; 33.46°, I = 63; 23.82°, I = 62; 31.92°, I = 60; 25.77°, I = 27; 30.54°, I = 16; 58.75°, I = 15; 39.35°, I = 14; 42.72°, I = 14; 36.56°, I = 12

Cell and atoms:
```
Ac4Tl5Cd3
1.0
8.8824 -2.6775 0.0000
8.8824 2.6775 0.0000
-7.0815 0.0000 8.7805
Ac Tl Cd
4 5 3
direct
0.0189 0.0189 0.3329
0.2632 0.2632 0.7640
0.7368 0.7368 0.2360
0.9811 0.9811 0.6671
0.2096 0.2096 0.0208
0.3943 0.3943 0.3706
0.5000 0.5000 0.0000
0.6057 0.6057 0.6294
0.7904 0.7904 0.9792
0.0000 0.0000 0.0000
0.2799 0.2799 0.4822
0.7201 0.7201 0.5178
```

=====

Ac3Tl2Cd: computed powder XRD pattern (Cu Ka), based on the GGA-PBE geometry in Alexandria.
Lines closer than 0.1° are merged.

Main lines, most intense first (15 to 90 degrees two-theta):
30.52°, I = 100; 31.19°, I = 48; 55.08°, I = 39; 53.81°, I = 20; 44.69°, I = 18; 63.52°, I = 12; 89.29°, I = 10; 87.58°, I = 10; 42.70°, I = 10; 70.65°, I = 9

Cell and atoms:
```
Ac3Tl2Cd
1.0
4.0559 0.0000 0.0000
0.0000 4.0559 0.0000
0.0000 0.0000 12.7054
Ac Tl Cd
3 2 1
direct
0.0000 0.0000 0.0000
0.0000 0.0000 0.3392
0.0000 0.0000 0.6608
0.5000 0.5000 0.1732
0.5000 0.5000 0.8268
0.5000 0.5000 0.5000
```

=====

Ac2TlZn3Cd4: computed powder XRD pattern (Cu Ka), based on the GGA-PBE geometry in Alexandria.
Lines closer than 0.1° are merged.

Main lines, most intense first (15 to 90 degrees two-theta):
31.01°, I = 100; 37.86°, I = 51; 30.39°, I = 45; 64.15°, I = 25; 49.30°, I = 24; 44.60°, I = 22; 59.90°, I = 18; 54.62°, I = 18; 56.23°, I = 12; 20.29°, I = 11

Cell and atoms:
```
Ac2TlZn3Cd4
1.0
4.7525 0.0000 0.0000
0.0000 4.7525 0.0000
0.0000 0.0000 11.2365
Ac Tl Zn Cd
2 1 3 4
direct
0.0000 0.5000 0.2446
0.5000 0.0000 0.7554
0.0000 0.0000 0.5000
0.0000 0.5000 0.8759
0.5000 0.0000 0.1241
0.5000 0.5000 0.5000
0.0000 0.0000 0.0000
0.0000 0.5000 0.6441
0.5000 0.0000 0.3559
0.5000 0.5000 0.0000
```

=====

Ac2Tm2Cd15: computed powder XRD pattern (Cu Ka), based on the GGA-PBE geometry in Alexandria.
Lines closer than 0.1° are merged.

Main lines, most intense first (15 to 90 degrees two-theta):
34.76°, I = 100; 35.08°, I = 63; 30.23°, I = 61; 39.10°, I = 30; 61.14°, I = 21; 33.82°, I = 20; 62.94°, I = 15; 24.18°, I = 13; 50.22°, I = 11; 62.71°, I = 11

Cell and atoms:
```
Ac2Tm2Cd15
1.0
5.1153 2.9533 5.3003
-5.1153 2.9533 5.3003
0.0000 -5.9066 5.3003
Ac Tm Cd
2 2 15
direct
0.1652 0.1652 0.1652
0.8348 0.8348 0.8348
0.4007 0.4007 0.4007
0.5993 0.5993 0.5993
0.0000 0.5000 0.5000
0.1358 0.1358 0.6492
0.1358 0.6492 0.1358
0.2115 0.5000 0.7885
0.2115 0.7885 0.5000
0.3508 0.8642 0.8642
0.5000 0.0000 0.5000
0.5000 0.2115 0.7885
0.5000 0.5000 0.0000
0.5000 0.7885 0.2115
0.6492 0.1358 0.1358
0.7885 0.2115 0.5000
0.7885 0.5000 0.2115
0.8642 0.3508 0.8642
0.8642 0.8642 0.3508
```